This entry pairs a crystal structure of K2LiNbO4 with its theoretical X-ray diffraction stick pattern. Radiation: λ = 1.5418 Å (Cu Kα). Structure: the GGA-PBE geometry in the Materials Project.
Neutral-atom scattering factors, no anomalous dispersion.

Main lines, by angle (2θ from 10° to 90°):
index  2θ (°)  intensity
0 0 2  14.7  47
0 1 2  18.2  39
1 1 0  18.8  42
1 1 -2  21.4  100
0 2 0  21.5  45
1 0 2  24.0  55
0 2 2  26.1  36
1 2 0  26.6  98
0 0 4  29.6  51
2 0 -2  30.9  55
0 1 4  31.6  43
1 2 2  32.4  37

Structural model:
a b c (Å): 5.9293 8.2750 12.4672
angles (deg): 90.00 104.77 90.00
Sites, in units of the cell vectors:
K (0.1291, 0.0094, 0.3412)
K (0.1291, 0.4906, 0.8412)
K (0.3248, 0.2432, 0.6380)
K (0.3248, 0.2568, 0.1380)
K (0.6752, 0.7432, 0.8620)
K (0.6752, 0.7568, 0.3620)
K (0.8709, 0.5094, 0.1588)
K (0.8709, 0.9906, 0.6588)
Li (0.1374, 0.0253, 0.9099)
Li (0.1374, 0.4747, 0.4099)
Li (0.8626, 0.5253, 0.5901)
Li (0.8626, 0.9747, 0.0901)
Nb (0.3493, 0.7205, 0.5675)
Nb (0.3493, 0.7795, 0.0675)
Nb (0.6507, 0.2205, 0.9325)
Nb (0.6507, 0.2795, 0.4325)
O (0.1931, 0.5523, 0.6214)
O (0.1931, 0.9477, 0.1214)
O (0.2569, 0.6974, 0.4119)
O (0.2569, 0.8026, 0.9119)
O (0.2657, 0.5731, 0.1003)
O (0.2657, 0.9269, 0.6003)
O (0.3235, 0.2008, 0.8822)
O (0.3235, 0.2992, 0.3822)
O (0.6765, 0.7008, 0.6178)
O (0.6765, 0.7992, 0.1178)
O (0.7343, 0.0731, 0.3997)
O (0.7343, 0.4269, 0.8997)
O (0.7431, 0.1974, 0.0881)
O (0.7431, 0.3026, 0.5881)
O (0.8069, 0.0523, 0.8786)
O (0.8069, 0.4477, 0.3786)